Starting from a DFT-relaxed cell (PBE, Alexandria), the powder diffractogram of Nd3Sm5Sn was computed for λ = 1.5418 Å (Cu Kα).
Lines closer than 0.1° are merged.

Atomic structure:
```
Nd3Sm5Sn
1.0
4.981 -5.902 0.000
4.981 5.902 0.000
-0.077 0.000 11.469
Nd Sm Sn
6 10 2
Cartesian
0.000 0.000 0.000 Nd
-0.038 0.000 5.734 Nd
1.690 0.000 2.847 Nd
3.291 0.000 5.888 Nd
6.594 0.000 5.580 Nd
8.195 0.000 8.622 Nd
3.645 2.978 4.113 Sm
4.981 2.886 0.000 Sm
3.114 0.000 11.424 Sm
6.240 2.978 7.355 Sm
4.752 0.000 8.726 Sm
5.133 0.000 2.742 Sm
3.645 -2.978 4.113 Sm
6.771 0.000 0.044 Sm
4.981 -2.886 0.000 Sm
6.240 -2.978 7.355 Sm
1.500 0.000 8.691 Sn
8.385 0.000 2.778 Sn
```

Principal peaks in the range 10° ≤ 2θ ≤ 90°, low angle first:
Position (°2θ)  I_rel
15.01  52
24.68  46
27.80  31
28.07  37
30.29  100
31.97  70
32.15  70
34.79  76
38.73  52
38.88  46